Rb2AsSF5: computed XRD peak list (Cu Kα), based on the GGA-PBE geometry in Alexandria.

Atomic structure:
```
data_Rb2AsSF5
_symmetry_space_group_name_H-M 'I 4 m m'
_symmetry_Int_Tables_number 107
_symmetry_space_group_name_Hall 'I 4 -2'
_cell_length_a 6.633
_cell_length_b 6.633
_cell_length_c 8.803
_cell_angle_alpha 90.00
_cell_angle_beta 90.00
_cell_angle_gamma 90.00
loop_
_atom_site_label
_atom_site_type_symbol
_atom_site_fract_x
_atom_site_fract_y
_atom_site_fract_z
Rb1 Rb 0.000 0.500 0.000
As1 As 0.000 0.000 0.252
S1 S 0.000 0.000 0.496
F1 F 0.000 0.000 0.044
F2 F 0.197 0.197 0.228
```

Principal peaks in the range 10° ≤ 2θ ≤ 90°, in order of falling intensity:
Position (°2θ)  I/Imax  h k l
16.73  100  1 0 1
27.80  100  1 1 2
26.88  73  2 0 0
38.38  59  2 2 0
33.84  58  2 0 2
48.05  34  3 1 2
57.42  30  2 2 4
49.72  27  2 0 4
41.01  25  0 0 4
77.63  19  4 2 4

---

Rb2TaAsF6: computed XRD peak list (Cu Kα), based on the GGA-PBE geometry in Alexandria.

Atomic structure:
```
data_Rb2TaAsF6
_symmetry_space_group_name_H-M 'I 4/m m m'
_symmetry_Int_Tables_number 139
_symmetry_space_group_name_Hall '-I 4 2'
_cell_length_a 7.072
_cell_length_b 7.072
_cell_length_c 10.715
_cell_angle_alpha 90.00
_cell_angle_beta 90.00
_cell_angle_gamma 90.00
loop_
_atom_site_label
_atom_site_type_symbol
_atom_site_fract_x
_atom_site_fract_y
_atom_site_fract_z
Rb1 Rb 0.000 0.500 0.250
Ta1 Ta 0.000 0.000 0.000
As1 As 0.000 0.000 0.500
F1 F 0.000 0.000 0.181
F2 F 0.193 0.193 0.000
```

Principal peaks in the range 10° ≤ 2θ ≤ 90°, in order of falling intensity:
Position (°2θ)  I/Imax  h k l
24.35  100  1 1 2
25.19  45  2 0 0
15.01  39  1 0 1
43.87  35  3 1 2
35.92  28  2 2 0
42.33  18  2 0 4
49.89  18  2 2 4
33.45  16  0 0 4
54.57  14  1 1 6
67.07  13  3 1 6

---

Rb2TiAsF6: computed XRD peak list (Cu Kα), based on the GGA-PBE geometry in Alexandria.

Atomic structure:
```
data_Rb2TiAsF6
_symmetry_space_group_name_H-M 'I 4/m m m'
_symmetry_Int_Tables_number 139
_symmetry_space_group_name_Hall '-I 4 2'
_cell_length_a 7.150
_cell_length_b 7.150
_cell_length_c 8.158
_cell_angle_alpha 90.00
_cell_angle_beta 90.00
_cell_angle_gamma 90.00
loop_
_atom_site_label
_atom_site_type_symbol
_atom_site_fract_x
_atom_site_fract_y
_atom_site_fract_z
Rb1 Rb 0.000 0.500 0.250
Ti1 Ti 0.000 0.000 0.000
As1 As 0.000 0.000 0.500
F1 F 0.000 0.000 0.239
F2 F 0.188 0.188 0.000
```

Principal peaks in the range 10° ≤ 2θ ≤ 90°, in order of falling intensity:
Position (°2θ)  I/Imax  h k l
28.11  100  1 1 2
24.91  74  2 0 0
35.51  52  2 2 0
45.89  38  3 1 2
58.11  22  2 2 4
51.59  19  2 0 4
57.66  19  4 2 0
33.33  18  2 0 2
75.57  16  4 2 4
59.34  16  3 3 2

---

AsS6F: computed XRD peak list (Cu Kα), based on the GGA-PBE geometry in Alexandria.

Atomic structure:
```
data_AsS6F
_symmetry_space_group_name_H-M 'C 1 m 1'
_symmetry_Int_Tables_number 8
_cell_length_a 5.741
_cell_length_b 15.372
_cell_length_c 6.213
_cell_angle_alpha 90.00
_cell_angle_beta 117.33
_cell_angle_gamma 90.00
loop_
_symmetry_equiv_pos_as_xyz
'x,y,z'
'x,-y,z'
'x+1/2,y+1/2,z'
'x+1/2,-y+1/2,z'
loop_
_atom_site_label
_atom_site_type_symbol
_atom_site_fract_x
_atom_site_fract_y
_atom_site_fract_z
As1 As 0.000 0.000 0.000
S1 S 0.096 0.000 0.391
S2 S 0.147 0.200 0.784
S3 S 0.285 0.500 0.450
S4 S 0.446 0.301 0.972
F1 F 0.153 0.500 0.886
```

Principal peaks in the range 10° ≤ 2θ ≤ 90°, in order of falling intensity:
Position (°2θ)  I/Imax  h k l
18.33  100  1 1 0
23.15  54  0 4 0
16.06  53  0 0 1
34.05  43  1 5 0
19.80  32  0 2 1
29.43  22  1 1 -2
33.81  19  1 3 1
41.37  18  1 5 1
35.02  18  0 6 0
11.51  18  0 2 0

---

AsS5F: computed XRD peak list (Cu Kα), based on the GGA-PBE geometry in Alexandria.

Atomic structure:
```
data_AsS5F
_symmetry_space_group_name_H-M 'P 1'
_symmetry_Int_Tables_number 1
_cell_length_a 4.516
_cell_length_b 4.687
_cell_length_c 9.429
_cell_angle_alpha 101.83
_cell_angle_beta 90.95
_cell_angle_gamma 96.58
loop_
_symmetry_equiv_pos_as_xyz
'x,y,z'
loop_
_atom_site_label
_atom_site_type_symbol
_atom_site_fract_x
_atom_site_fract_y
_atom_site_fract_z
As1 As 0.000 0.000 0.000
S1 S 0.055 0.230 0.808
S2 S 0.070 0.672 0.348
S3 S 0.413 0.719 0.505
S4 S 0.710 0.429 0.419
S5 S 0.771 0.531 0.883
F1 F 0.379 0.911 0.018
```

Principal peaks in the range 10° ≤ 2θ ≤ 90°, in order of falling intensity:
Position (°2θ)  I/Imax  h k l
19.25  100  0 0 2
23.52  60  0 1 1
19.83  53  1 0 0
24.45  43  0 1 -2
29.05  33  -1 1 1
21.68  31  1 0 -1
29.60  28  1 1 0
38.22  25  1 1 2
22.41  20  1 0 1
42.80  20  2 -1 0

---

AsSF2: computed XRD peak list (Cu Kα), based on the GGA-PBE geometry in Alexandria.

Atomic structure:
```
data_AsSF2
_symmetry_space_group_name_H-M 'P 1 21/c 1'
_symmetry_Int_Tables_number 14
_cell_length_a 5.822
_cell_length_b 5.497
_cell_length_c 11.805
_cell_angle_alpha 90.00
_cell_angle_beta 119.50
_cell_angle_gamma 90.00
loop_
_symmetry_equiv_pos_as_xyz
'x,y,z'
'-x,-y,-z'
'-x,y+1/2,-z+1/2'
'x,-y+1/2,z+1/2'
loop_
_atom_site_label
_atom_site_type_symbol
_atom_site_fract_x
_atom_site_fract_y
_atom_site_fract_z
As1 As 0.122 0.000 0.372
S1 S 0.218 0.250 0.250
F1 F 0.100 0.700 0.095
F2 F 0.410 0.700 0.905
```

Principal peaks in the range 10° ≤ 2θ ≤ 90°, in order of falling intensity:
Position (°2θ)  I/Imax  h k l
17.51  100  1 0 0
18.30  97  0 1 1
28.29  94  1 1 1
34.49  45  1 1 -4
45.38  40  2 2 -2
30.76  24  0 1 3
47.20  19  2 0 -6
37.22  19  1 2 0
53.13  17  3 1 -5
35.99  16  2 1 -3